# ZrCrAgS4
Calculated powder diffractogram, Cu Kα X-rays. Input: the GGA-PBE geometry in the Materials Project.
Lines closer than 0.1° are merged.

Cell lengths 6.6763, 7.7926, 12.9370 Å; angles 98.39, 94.81, 90.32 degrees
Sites, in units of the cell vectors:
1 Zr 0.1453 0.2027 0.3039
2 Zr 0.2394 0.3839 0.9992
3 Zr 0.7606 0.6161 0.0008
4 Zr 0.8547 0.7973 0.6961
5 Cr 0.3626 0.0563 0.7054
6 Cr 0.3650 0.5480 0.7014
7 Cr 0.6350 0.4520 0.2986
8 Cr 0.6374 0.9437 0.2946
9 Ag 0.1183 0.6971 0.3073
10 Ag 0.2680 0.8711 0.9995
11 Ag 0.7320 0.1289 0.0005
12 Ag 0.8817 0.3029 0.6927
13 S 0.0962 0.6438 0.1062
14 S 0.1253 0.1617 0.1159
15 S 0.2077 0.7889 0.6431
16 S 0.2319 0.2821 0.6392
17 S 0.3371 0.4654 0.3758
18 S 0.3373 0.9658 0.3655
19 S 0.3730 0.1064 0.8783
20 S 0.4153 0.5738 0.8826
21 S 0.5847 0.4262 0.1174
22 S 0.6270 0.8936 0.1217
23 S 0.6627 0.0342 0.6345
24 S 0.6629 0.5346 0.6242
25 S 0.7681 0.7179 0.3608
26 S 0.7923 0.2111 0.3569
27 S 0.8747 0.8383 0.8841
28 S 0.9038 0.3562 0.8938

Largest 10 diffraction maxima, in order of falling intensity, 2θ from 10° to 90°:
2theta, d_spacing, I/Imax, (hkl)
20.9, 4.250, 100, 0 0 3
28.3, 3.158, 63, 2 0 1
32.5, 2.753, 52, 1 2 2
28.0, 3.184, 32, -1 2 1
40.9, 2.209, 30, 1 2 -5
46.6, 1.948, 28, 0 4 -1
26.8, 3.324, 28, 2 0 0
47.1, 1.928, 24, 3 2 -1
32.7, 2.736, 24, 2 0 -3
46.9, 1.937, 23, 3 -2 0